Record 1
Structure and simulated X-ray diffraction stick pattern of CuGe (a PBE-relaxed structure; a wavelength of 1.5418 Å).
Neutral-atom scattering factors, no anomalous dispersion.

Structure:
abc: 8.1133 8.1133 4.0222
angles: 90.00 90.00 90.00
Space group P4/m (No. 83)
Inequivalent atoms, fractional coordinates:
1 Cu 0.0766 0.7917 0.0000 x4
2 Cu 0.1300 0.5842 0.5000 x4
3 Ge 0.1351 0.2667 0.5000 x4
4 Ge 0.2821 0.5424 0.0000 x4

Principal peaks in the range 2θ = 10–80°, in order of falling intensity:
Position (°2θ), I (rel.), h k l
46.20, 100, 3 2 1
41.76, 45, 1 3 1
27.07, 43, 1 1 1
45.08, 37, 0 0 2
38.55, 29, 2 2 1
50.36, 20, 4 0 1
79.22, 20, 3 6 0
31.18, 19, 2 2 0
66.48, 17, 4 1 2
33.25, 14, 2 1 1



Record 2
Structure and simulated X-ray diffraction stick pattern of ReHgAu (a PBE-relaxed structure; a wavelength of 1.5418 Å).
Neutral-atom scattering factors, no anomalous dispersion.

Structure:
abc: 2.8938 4.9322 15.1127
angles: 90.00 90.00 90.00
Space group Fmm2 (No. 42)
Inequivalent atoms, fractional coordinates:
1 Re 0.0000 0.0000 0.0000 x4
2 Hg 0.0000 0.0000 0.3317 x4
3 Au 0.0000 0.0000 0.6582 x4

Principal peaks in the range 2θ = 10–80°, in order of falling intensity:
Position (°2θ), I (rel.), h k l
40.33, 100, 1 1 3
35.64, 34, 0 0 6
36.43, 33, 0 2 0
51.89, 24, 0 2 6
67.19, 22, 1 1 9
68.19, 22, 1 3 3
76.30, 8, 2 2 0
75.83, 8, 2 0 6
64.39, 6, 2 0 0
77.40, 4, 0 4 0